# 1
Diffraction record for Fe7O3F9. The powder diffractogram is calculated, not measured: it uses a DFT-relaxed cell (GGA+U, the Materials Project) and a wavelength of 1.5418 Å.
Lines closer than 0.1° are merged.

Peak list (12 most intense, 10 to 80 degrees two-theta, in order of rising 2θ)
2θ (°), d (Å), I_rel
10.1, 8.764, 54.6
22.2, 4.012, 56.4
22.6, 3.931, 60.3
23.3, 3.824, 63.8
31.1, 2.878, 100.0
31.1, 2.873, 98.3
31.5, 2.841, 90.1
32.6, 2.747, 72.2
33.6, 2.671, 77.2
33.8, 2.652, 72.5
38.0, 2.369, 62.5
50.8, 1.798, 73.9

Structure:
Unit cell a=5.495 b=5.705 c=9.130 alpha=75.42 beta=89.51 gamma=62.14
Fractional positions:
Fe 0.000 0.000 0.000
Fe 0.012 0.879 0.360
Fe 0.170 0.501 0.743
Fe 0.278 0.362 0.103
Fe 0.454 0.971 0.509
Fe 0.541 0.871 0.858
Fe 0.710 0.425 0.589
O 0.240 0.180 0.939
O 0.309 0.654 0.553
O 0.736 0.680 0.699
F 0.139 0.203 0.626
F 0.210 0.142 0.306
F 0.242 0.674 0.205
F 0.292 0.672 0.897
F 0.703 0.178 0.790
F 0.712 0.162 0.475
F 0.722 0.150 0.155
F 0.770 0.671 0.404
F 0.858 0.701 0.031

***

# 2
Diffraction record for Fe2OF3. The powder diffractogram is calculated, not measured: it uses a DFT-relaxed cell (GGA+U, the Materials Project) and a wavelength of 1.5418 Å.
Lines closer than 0.1° are merged.

Peak list (12 most intense, 10 to 80 degrees two-theta, in order of rising 2θ)
2θ (°), d (Å), I_rel
25.4, 3.503, 96.6
26.2, 3.397, 98.4
34.4, 2.607, 100.0
36.9, 2.439, 14.5
38.9, 2.315, 19.0
39.5, 2.284, 17.6
50.8, 1.796, 62.3
51.7, 1.767, 54.2
52.2, 1.752, 22.4
54.0, 1.699, 14.6
60.0, 1.542, 18.3
64.8, 1.438, 42.5

Structure:
Unit cell a=15.425 b=4.880 c=4.880 alpha=91.76 beta=90.00 gamma=90.00
Fractional positions:
Fe 0.000 0.000 0.000
Fe 0.100 0.469 0.469
Fe 0.200 0.939 0.939
Fe 0.300 0.470 0.470
Fe 0.400 0.990 0.990
Fe 0.500 0.445 0.445
Fe 0.600 0.990 0.990
Fe 0.700 0.470 0.470
Fe 0.800 0.939 0.939
Fe 0.900 0.469 0.469
O 0.000 0.301 0.301
O 0.200 0.638 0.638
O 0.397 0.292 0.292
O 0.603 0.292 0.292
O 0.800 0.638 0.638
F 0.000 0.679 0.679
F 0.100 0.174 0.765
F 0.100 0.765 0.174
F 0.199 0.260 0.260
F 0.300 0.171 0.762
F 0.300 0.762 0.171
F 0.401 0.672 0.672
F 0.500 0.183 0.771
F 0.500 0.771 0.183
F 0.599 0.672 0.672
F 0.700 0.171 0.762
F 0.700 0.762 0.171
F 0.801 0.260 0.260
F 0.900 0.174 0.765
F 0.900 0.765 0.174

***

# 3
Diffraction record for Fe10O11F9. The powder diffractogram is calculated, not measured: it uses a DFT-relaxed cell (GGA+U, the Materials Project) and a wavelength of 1.5418 Å.
Lines closer than 0.1° are merged.

Peak list (12 most intense, 10 to 80 degrees two-theta, in order of rising 2θ)
2θ (°), d (Å), I_rel
26.3, 3.386, 95.7
26.9, 3.310, 92.6
34.8, 2.576, 100.0
38.0, 2.367, 14.7
39.6, 2.274, 18.1
52.2, 1.754, 54.3
52.8, 1.735, 26.6
52.9, 1.730, 25.6
54.2, 1.693, 14.8
60.3, 1.535, 17.1
66.6, 1.405, 18.2
66.7, 1.402, 18.1

Structure:
Unit cell a=4.734 b=4.737 c=15.349 alpha=90.11 beta=90.16 gamma=91.30
Fractional positions:
Fe 0.000 0.000 0.000
Fe 0.001 0.973 0.593
Fe 0.068 0.938 0.201
Fe 0.495 0.440 0.100
Fe 0.540 0.441 0.498
Fe 0.560 0.502 0.299
Fe 0.569 0.470 0.698
Fe 0.577 0.475 0.900
Fe 0.991 0.970 0.797
Fe 0.994 0.987 0.404
O 0.210 0.146 0.100
O 0.220 0.163 0.497
O 0.349 0.651 0.200
O 0.713 0.286 0.003
O 0.718 0.285 0.396
O 0.719 0.274 0.598
O 0.730 0.286 0.799
O 0.819 0.766 0.497
O 0.838 0.785 0.696
O 0.839 0.792 0.901
O 0.852 0.793 0.300
F 0.228 0.175 0.700
F 0.228 0.183 0.899
F 0.239 0.175 0.299
F 0.324 0.668 0.999
F 0.330 0.665 0.599
F 0.331 0.671 0.398
F 0.338 0.678 0.799
F 0.733 0.269 0.200
F 0.825 0.763 0.101

***

# 4
Diffraction record for Fe10O11F9. The powder diffractogram is calculated, not measured: it uses a DFT-relaxed cell (GGA+U, the Materials Project) and a wavelength of 1.5418 Å.
Lines closer than 0.1° are merged.

Peak list (12 most intense, 10 to 80 degrees two-theta, in order of rising 2θ)
2θ (°), d (Å), I_rel
25.8, 3.453, 100.0
27.5, 3.248, 92.1
34.8, 2.577, 73.9
34.9, 2.572, 25.0
38.0, 2.366, 16.4
51.5, 1.774, 30.3
51.6, 1.770, 31.0
53.0, 1.726, 16.6
53.4, 1.715, 37.4
60.3, 1.535, 16.2
66.6, 1.404, 23.8
66.7, 1.402, 24.6

Structure:
Unit cell a=4.740 b=4.741 c=15.352 alpha=89.82 beta=89.96 gamma=86.49
Fractional positions:
Fe 0.000 0.000 0.000
Fe 0.001 0.997 0.389
Fe 0.031 0.972 0.788
Fe 0.456 0.470 0.686
Fe 0.472 0.460 0.298
Fe 0.475 0.456 0.089
Fe 0.491 0.508 0.898
Fe 0.496 0.498 0.492
Fe 0.983 0.039 0.194
Fe 0.996 0.003 0.595
O 0.174 0.187 0.296
O 0.176 0.187 0.095
O 0.183 0.173 0.691
O 0.292 0.691 0.993
O 0.293 0.687 0.586
O 0.299 0.687 0.398
O 0.310 0.667 0.792
O 0.663 0.306 0.195
O 0.684 0.298 0.588
O 0.688 0.297 0.400
O 0.691 0.291 0.989
F 0.185 0.186 0.493
F 0.194 0.179 0.890
F 0.275 0.695 0.196
F 0.700 0.277 0.792
F 0.789 0.798 0.097
F 0.790 0.798 0.294
F 0.797 0.789 0.693
F 0.804 0.805 0.493
F 0.808 0.799 0.889

***

# 5
Diffraction record for Fe2O3F. The powder diffractogram is calculated, not measured: it uses a DFT-relaxed cell (GGA+U, the Materials Project) and a wavelength of 1.5418 Å.
Lines closer than 0.1° are merged.

Peak list (12 most intense, 10 to 80 degrees two-theta, in order of rising 2θ)
2θ (°), d (Å), I_rel
26.4, 3.377, 100.0
27.7, 3.221, 95.5
35.4, 2.539, 52.1
35.5, 2.529, 51.1
38.6, 2.331, 18.0
52.5, 1.743, 28.6
52.8, 1.733, 28.7
54.2, 1.693, 40.7
54.3, 1.689, 15.3
57.2, 1.611, 15.6
61.4, 1.509, 16.4
68.0, 1.379, 19.0

Structure:
Unit cell a=4.670 b=7.617 c=9.813 alpha=70.35 beta=87.33 gamma=88.60
Fractional positions:
Fe 0.000 0.000 0.000
Fe 0.002 0.206 0.393
Fe 0.449 0.105 0.682
Fe 0.465 0.701 0.878
Fe 0.469 0.293 0.085
Fe 0.479 0.895 0.290
Fe 0.507 0.494 0.487
Fe 0.930 0.386 0.786
Fe 0.945 0.595 0.168
Fe 0.955 0.810 0.587
O 0.164 0.362 0.203
O 0.167 0.158 0.812
O 0.167 0.755 0.006
O 0.170 0.965 0.412
O 0.280 0.860 0.709
O 0.285 0.275 0.505
O 0.290 0.056 0.120
O 0.646 0.536 0.052
O 0.660 0.337 0.664
O 0.668 0.733 0.465
O 0.770 0.640 0.762
O 0.772 0.233 0.974
O 0.777 0.051 0.563
O 0.779 0.829 0.166
O 0.788 0.439 0.355
F 0.166 0.561 0.606
F 0.263 0.457 0.899
F 0.279 0.656 0.311
F 0.667 0.938 0.866
F 0.675 0.138 0.270

***

# 6
Diffraction record for Fe5O8F2. The powder diffractogram is calculated, not measured: it uses a DFT-relaxed cell (GGA+U, the Materials Project) and a wavelength of 1.5418 Å.
Lines closer than 0.1° are merged.

Peak list (12 most intense, 10 to 80 degrees two-theta, in order of rising 2θ)
2θ (°), d (Å), I_rel
26.9, 3.319, 92.7
27.7, 3.225, 92.8
35.6, 2.520, 100.0
41.0, 2.199, 13.0
53.3, 1.718, 39.3
53.4, 1.716, 13.5
54.2, 1.691, 53.0
55.4, 1.659, 14.7
57.1, 1.613, 15.0
61.7, 1.503, 15.3
68.3, 1.374, 17.6
68.5, 1.370, 18.9

Structure:
Unit cell a=4.635 b=7.584 c=9.718 alpha=70.45 beta=88.46 gamma=88.97
Fractional positions:
Fe 0.000 0.000 0.000
Fe 0.003 0.611 0.201
Fe 0.447 0.091 0.686
Fe 0.471 0.302 0.082
Fe 0.497 0.486 0.496
Fe 0.504 0.910 0.285
Fe 0.509 0.708 0.905
Fe 0.945 0.805 0.593
Fe 0.979 0.396 0.786
Fe 0.995 0.197 0.397
O 0.165 0.239 0.962
O 0.176 0.440 0.371
O 0.187 0.034 0.578
O 0.198 0.842 0.174
O 0.279 0.327 0.671
O 0.291 0.941 0.869
O 0.293 0.151 0.261
O 0.299 0.539 0.071
O 0.660 0.866 0.720
O 0.669 0.245 0.521
O 0.676 0.464 0.912
O 0.684 0.074 0.104
O 0.687 0.661 0.316
O 0.787 0.560 0.617
O 0.797 0.964 0.412
O 0.811 0.765 0.022
F 0.177 0.642 0.771
F 0.286 0.741 0.476
F 0.766 0.154 0.807
F 0.791 0.366 0.212

***

# 7
Diffraction record for Fe6O7F5. The powder diffractogram is calculated, not measured: it uses a DFT-relaxed cell (GGA+U, the Materials Project) and a wavelength of 1.5418 Å.
Lines closer than 0.1° are merged.

Peak list (12 most intense, 10 to 80 degrees two-theta, in order of rising 2θ)
2θ (°), d (Å), I_rel
26.7, 3.335, 100.0
27.3, 3.268, 98.3
34.8, 2.578, 58.1
35.0, 2.566, 52.9
52.5, 1.744, 31.6
52.8, 1.733, 27.4
53.2, 1.721, 29.0
53.4, 1.717, 27.3
56.3, 1.634, 18.1
60.0, 1.541, 18.1
67.3, 1.392, 20.3
67.6, 1.386, 18.0

Structure:
Unit cell a=5.579 b=5.584 c=7.368 alpha=72.02 beta=72.10 gamma=71.68
Fractional positions:
Fe 0.000 0.000 0.000
Fe 0.008 0.065 0.528
Fe 0.309 0.366 0.192
Fe 0.355 0.356 0.687
Fe 0.636 0.720 0.850
Fe 0.659 0.712 0.354
O 0.123 0.142 0.723
O 0.298 0.711 0.019
O 0.362 0.009 0.353
O 0.561 0.600 0.643
O 0.654 0.063 0.688
O 0.750 0.795 0.065
O 0.959 0.412 0.354
F 0.036 0.667 0.690
F 0.226 0.251 0.993
F 0.431 0.470 0.382
F 0.697 0.328 0.019
F 0.903 0.943 0.313

***

# 8
Diffraction record for Fe3O5F. The powder diffractogram is calculated, not measured: it uses a DFT-relaxed cell (GGA+U, the Materials Project) and a wavelength of 1.5418 Å.
Lines closer than 0.1° are merged.

Peak list (12 most intense, 10 to 80 degrees two-theta, in order of rising 2θ)
2θ (°), d (Å), I_rel
26.5, 3.367, 100.0
27.8, 3.209, 95.4
35.5, 2.531, 52.2
35.5, 2.526, 51.7
38.8, 2.323, 19.8
52.7, 1.736, 29.8
52.9, 1.731, 30.2
54.3, 1.689, 55.4
54.5, 1.683, 16.4
61.5, 1.507, 16.2
68.0, 1.378, 24.9
68.1, 1.376, 19.9

Structure:
Unit cell a=5.548 b=5.548 c=7.369 alpha=109.44 beta=109.44 gamma=70.68
Fractional positions:
Fe 0.000 0.000 0.000
Fe 0.000 0.000 0.482
Fe 0.328 0.328 0.337
Fe 0.348 0.348 0.814
Fe 0.673 0.673 0.653
Fe 0.678 0.678 0.154
O 0.035 0.647 0.820
O 0.227 0.227 0.529
O 0.312 0.696 0.494
O 0.360 0.972 0.156
O 0.575 0.575 0.868
O 0.647 0.035 0.820
O 0.696 0.312 0.494
O 0.774 0.774 0.444
O 0.902 0.902 0.191
O 0.972 0.360 0.156
F 0.109 0.109 0.793
F 0.435 0.435 0.119

***

# 9
Diffraction record for Fe10O11F9. The powder diffractogram is calculated, not measured: it uses a DFT-relaxed cell (GGA+U, the Materials Project) and a wavelength of 1.5418 Å.
Lines closer than 0.1° are merged.

Peak list (12 most intense, 10 to 80 degrees two-theta, in order of rising 2θ)
2θ (°), d (Å), I_rel
26.7, 3.344, 100.0
26.9, 3.312, 97.7
34.6, 2.593, 53.6
34.7, 2.584, 54.0
39.8, 2.266, 18.2
52.3, 1.750, 29.1
52.5, 1.742, 31.4
52.7, 1.738, 41.6
54.9, 1.672, 17.0
59.7, 1.550, 17.8
66.6, 1.403, 17.1
66.7, 1.402, 19.3

Structure:
Unit cell a=4.706 b=4.708 c=15.497 alpha=89.84 beta=89.72 gamma=89.45
Fractional positions:
Fe 0.000 0.000 0.000
Fe 0.004 0.014 0.596
Fe 0.010 0.014 0.797
Fe 0.024 0.973 0.399
Fe 0.496 0.443 0.489
Fe 0.502 0.434 0.896
Fe 0.509 0.434 0.693
Fe 0.520 0.467 0.301
Fe 0.530 0.458 0.097
Fe 0.986 0.994 0.185
O 0.190 0.168 0.898
O 0.191 0.172 0.695
O 0.196 0.160 0.494
O 0.207 0.180 0.096
O 0.312 0.666 0.392
O 0.689 0.277 0.795
O 0.689 0.279 0.591
O 0.695 0.282 0.996
O 0.698 0.291 0.200
O 0.712 0.266 0.392
O 0.808 0.780 0.094
F 0.200 0.165 0.292
F 0.298 0.671 0.594
F 0.299 0.672 0.796
F 0.307 0.673 0.994
F 0.307 0.679 0.200
F 0.800 0.776 0.694
F 0.801 0.775 0.895
F 0.806 0.772 0.496
F 0.820 0.787 0.294

***

> What is the formula in the fourth record?

Fe10O11F9